1.
# Sr2Li12Ag7
Theoretical X-ray powder pattern, Cu Kα (weighted mean of Kα1 and Kα2). Input: the PBE geometry in Alexandria.

The 10 most intense peaks (15° ≤ 2θ ≤ 90°), sorted by position:
2θ 22.11, d = 4.020 Å, intensity 27.7; 2θ 26.24, d = 3.396 Å, intensity 97.2; 2θ 28.08, d = 3.177 Å, intensity 100.0; 2θ 33.06, d = 2.710 Å, intensity 38.6; 2θ 34.58, d = 2.594 Å, intensity 24.9; 2θ 40.14, d = 2.247 Å, intensity 91.8; 2θ 48.59, d = 1.874 Å, intensity 36.6; 2θ 58.07, d = 1.589 Å, intensity 36.7; 2θ 61.00, d = 1.519 Å, intensity 23.3; 2θ 86.67, d = 1.123 Å, intensity 20.3

Cell and atoms:
```
21
Lattice="10.3743 0.0000 0.0000 -5.1871 8.9844 0.0000 0.0000 0.0000 4.4950" Properties=species:S:1:pos:R:3 pbc="T T T"
Sr 0.0000 0.0000 0.0000
Sr 0.0000 5.9896 2.2475
Li -3.6862 6.3848 2.2475
Li -0.2436 3.4248 0.0000
Li -2.0993 7.4830 0.0000
Li 1.5008 2.5997 2.2475
Li 3.0207 1.5614 0.0000
Li 4.9053 1.3294 2.2475
Li 3.8858 4.0716 2.2475
Li 2.3430 7.0610 0.0000
Li 2.1853 8.9843 2.2475
Li 5.0290 5.5877 0.0000
Li 7.5118 1.8353 0.0000
Li 6.7704 3.5834 2.2475
Ag -1.2650 2.3285 2.2475
Ag -2.6241 4.7892 0.0000
Ag -2.5381 8.9157 2.2475
Ag 2.3516 4.3173 0.0000
Ag 0.2725 8.8623 0.0000
Ag 5.1872 2.9948 0.0000
Ag 3.8031 6.7246 2.2475
```

***

2.
# SrLi2Ag9
Theoretical X-ray powder pattern, Cu Kα (weighted mean of Kα1 and Kα2). Input: the PBE geometry in Alexandria.

The 10 most intense peaks (15° ≤ 2θ ≤ 90°), sorted by position:
2θ 21.37, d = 4.158 Å, intensity 22.7; 2θ 28.92, d = 3.087 Å, intensity 23.9; 2θ 35.02, d = 2.562 Å, intensity 100.0; 2θ 35.69, d = 2.515 Å, intensity 69.6; 2θ 37.39, d = 2.405 Å, intensity 21.1; 2θ 40.31, d = 2.238 Å, intensity 26.1; 2θ 40.80, d = 2.212 Å, intensity 20.9; 2θ 41.98, d = 2.152 Å, intensity 85.9; 2θ 53.61, d = 1.709 Å, intensity 21.2; 2θ 63.69, d = 1.461 Å, intensity 25.7

Cell and atoms:
```
24
Lattice="-5.6246 5.6246 3.6935 5.6246 -5.6246 3.6935 5.6246 5.6246 -3.6935" Properties=species:S:1:pos:R:3 pbc="T T T"
Sr 5.6246 2.8123 0.9234
Sr 0.0000 2.8123 2.7702
Li 0.0000 0.0000 0.0000
Li 2.8123 2.8123 -1.8468
Li 2.8123 -2.8123 1.8468
Li 0.0000 5.6246 0.0000
Ag 5.6246 -2.8123 2.7702
Ag 4.2439 -0.5429 1.3703
Ag 7.0054 -0.5429 1.3703
Ag 2.2694 1.4315 0.4765
Ag 8.9799 1.4315 0.4765
Ag 4.2439 5.0817 -1.3703
Ag 1.3808 -0.5429 2.3233
Ag 2.2694 4.1931 0.4765
Ag 3.3553 -1.4315 4.1700
Ag 2.2694 7.0562 -0.4765
Ag 3.3553 1.4315 3.2171
Ag 4.2439 6.1676 1.3703
Ag 1.3808 0.5429 5.0638
Ag -3.3553 4.1931 3.2171
Ag 3.3553 4.1931 3.2171
Ag -1.3808 6.1676 2.3233
Ag 1.3808 6.1676 2.3233
Ag 0.0000 8.4369 0.9234
```

***

3.
# SrLi2Ag6
Theoretical X-ray powder pattern, Cu Kα (weighted mean of Kα1 and Kα2). Input: the PBE geometry in Alexandria.

The 10 most intense peaks (15° ≤ 2θ ≤ 90°), sorted by position:
2θ 21.18, d = 4.194 Å, intensity 15.7; 2θ 24.89, d = 3.577 Å, intensity 6.4; 2θ 30.13, d = 2.966 Å, intensity 100.0; 2θ 32.91, d = 2.721 Å, intensity 4.6; 2θ 37.13, d = 2.421 Å, intensity 7.7; 2θ 43.14, d = 2.097 Å, intensity 76.5; 2θ 53.52, d = 1.712 Å, intensity 24.6; 2θ 62.65, d = 1.483 Å, intensity 11.8; 2θ 71.08, d = 1.326 Å, intensity 30.0; 2θ 79.10, d = 1.211 Å, intensity 23.4

Cell and atoms:
```
18
Lattice="0.0000 5.9313 5.9313 5.9313 0.0000 5.9313 5.9313 5.9313 0.0000" Properties=species:S:1:pos:R:3 pbc="T T T"
Sr 1.4828 1.4828 1.4828
Sr 10.3798 10.3798 10.3798
Li 5.9313 2.9657 2.9657
Li 2.9657 5.9313 2.9657
Li 2.9657 2.9657 5.9313
Li 5.9313 5.9313 5.9313
Ag 4.4485 4.4485 1.5620
Ag 4.4485 1.5620 4.4485
Ag 7.3350 4.4485 4.4485
Ag 7.4142 7.4142 4.5277
Ag 7.4142 4.5277 7.4142
Ag 10.3007 7.4142 7.4142
Ag 1.5620 4.4485 4.4485
Ag 4.4485 7.3350 4.4485
Ag 4.4485 4.4485 7.3350
Ag 4.5277 7.4142 7.4142
Ag 7.4142 10.3007 7.4142
Ag 7.4142 7.4142 10.3007
```

***

4.
# Sr2Li9Ag3
Theoretical X-ray powder pattern, Cu Kα (weighted mean of Kα1 and Kα2). Input: the PBE geometry in Alexandria.

The 10 most intense peaks (15° ≤ 2θ ≤ 90°), sorted by position:
2θ 20.70, d = 4.292 Å, intensity 19.6; 2θ 21.47, d = 4.139 Å, intensity 32.4; 2θ 23.22, d = 3.831 Å, intensity 18.5; 2θ 27.25, d = 3.272 Å, intensity 52.0; 2θ 27.85, d = 3.203 Å, intensity 100.0; 2θ 35.50, d = 2.529 Å, intensity 22.8; 2θ 36.71, d = 2.448 Å, intensity 46.0; 2θ 38.09, d = 2.363 Å, intensity 16.0; 2θ 47.46, d = 1.916 Å, intensity 19.7; 2θ 52.00, d = 1.759 Å, intensity 26.1

Cell and atoms:
```
28
Lattice="7.0879 -4.2919 0.0000 7.0879 4.2919 0.0000 0.0000 0.0000 10.1149" Properties=species:S:1:pos:R:3 pbc="T T T"
Sr 4.9389 2.8984 7.5862
Sr 9.2368 2.8984 7.5862
Sr 4.9389 -2.8984 2.5287
Sr 9.2368 -2.8984 2.5287
Li 4.7341 2.7764 0.7817
Li 4.7341 2.7764 4.2757
Li 7.0879 2.9425 2.5287
Li 7.0879 1.3590 5.1477
Li 7.0879 1.3590 10.0247
Li 9.4416 2.7764 0.7817
Li 9.4416 2.7764 4.2757
Li 5.6056 0.3937 2.5287
Li 5.6056 -0.3937 7.5862
Li 8.5701 0.3937 2.5287
Li 8.5701 -0.3937 7.5862
Li 4.7341 -2.7764 5.8392
Li 4.7341 -2.7764 9.3332
Li 7.0879 -1.3590 0.0902
Li 7.0879 -1.3590 4.9673
Li 7.0879 -2.9425 7.5862
Li 9.4416 -2.7764 5.8392
Li 9.4416 -2.7764 9.3332
Ag 0.0000 0.0000 0.0000
Ag 0.0000 0.0000 5.0575
Ag 4.5539 0.0000 0.0000
Ag 4.5539 0.0000 5.0575
Ag 9.6218 0.0000 0.0000
Ag 9.6218 0.0000 5.0575
```

***

5.
# Sr2Li5Ag4
Theoretical X-ray powder pattern, Cu Kα (weighted mean of Kα1 and Kα2). Input: the PBE geometry in Alexandria.

The 10 most intense peaks (15° ≤ 2θ ≤ 90°), sorted by position:
2θ 21.31, d = 4.169 Å, intensity 100.0; 2θ 29.35, d = 3.043 Å, intensity 50.7; 2θ 31.09, d = 2.876 Å, intensity 72.5; 2θ 34.70, d = 2.585 Å, intensity 87.6; 2θ 36.56, d = 2.458 Å, intensity 57.4; 2θ 41.09, d = 2.197 Å, intensity 16.4; 2θ 49.37, d = 1.846 Å, intensity 37.5; 2θ 53.16, d = 1.723 Å, intensity 15.2; 2θ 55.57, d = 1.654 Å, intensity 21.6; 2θ 66.77, d = 1.401 Å, intensity 14.7

Cell and atoms:
```
11
Lattice="0.0000 4.9924 8.3371 3.0431 0.0000 8.3371 3.0431 4.9924 0.0000" Properties=species:S:1:pos:R:3 pbc="T T T"
Sr 3.0431 4.9924 2.3695
Sr 3.0431 4.9924 14.3047
Li 1.5216 2.4962 0.0000
Li 1.5216 2.4962 4.1686
Li 1.5216 2.4962 8.3371
Li 3.0431 4.9924 8.3371
Li 4.5647 7.4886 12.5057
Ag 3.0431 3.4968 6.1351
Ag 3.0431 3.4968 10.5391
Ag 3.0431 6.4881 6.1351
Ag 3.0431 6.4881 10.5391
```

***

6.
# Sr2LiZnAg6
Theoretical X-ray powder pattern, Cu Kα (weighted mean of Kα1 and Kα2). Input: the PBE geometry in Alexandria.

The 10 most intense peaks (15° ≤ 2θ ≤ 90°), sorted by position:
2θ 15.68, d = 5.653 Å, intensity 17.7; 2θ 30.01, d = 2.978 Å, intensity 22.8; 2θ 30.29, d = 2.951 Å, intensity 20.4; 2θ 31.18, d = 2.868 Å, intensity 96.3; 2θ 31.66, d = 2.826 Å, intensity 100.0; 2θ 36.27, d = 2.477 Å, intensity 51.5; 2θ 36.52, d = 2.460 Å, intensity 88.1; 2θ 39.48, d = 2.282 Å, intensity 22.0; 2θ 52.42, d = 1.745 Å, intensity 50.3; 2θ 62.13, d = 1.494 Å, intensity 19.2

Cell and atoms:
```
10
Lattice="-3.4413 3.5182 4.9539 3.4413 -3.5182 4.9539 3.4413 3.5182 -4.9539" Properties=species:S:1:pos:R:3 pbc="T T T"
Sr 0.0000 0.0000 2.1348
Sr 0.0000 0.0000 7.7730
Li 0.0000 3.5182 0.0000
Zn 3.4413 0.0000 0.0000
Ag 3.4413 0.0000 2.5498
Ag 1.9890 2.0983 0.0000
Ag 1.4523 -1.4200 4.9539
Ag 1.9890 4.9382 0.0000
Ag 1.4523 1.4200 4.9539
Ag 0.0000 3.5182 2.4041
```

***

7.
# SrLiZn3Ag
Theoretical X-ray powder pattern, Cu Kα (weighted mean of Kα1 and Kα2). Input: the PBE geometry in Alexandria.

The 10 most intense peaks (15° ≤ 2θ ≤ 90°), sorted by position:
2θ 15.99, d = 5.541 Å, intensity 31.6; 2θ 21.76, d = 4.085 Å, intensity 21.1; 2θ 29.15, d = 3.064 Å, intensity 84.7; 2θ 32.31, d = 2.771 Å, intensity 73.4; 2θ 32.62, d = 2.745 Å, intensity 80.9; 2θ 37.28, d = 2.412 Å, intensity 23.6; 2θ 39.10, d = 2.304 Å, intensity 32.9; 2θ 40.29, d = 2.239 Å, intensity 95.4; 2θ 40.58, d = 2.223 Å, intensity 45.8; 2θ 42.04, d = 2.149 Å, intensity 100.0

Cell and atoms:
```
12
Lattice="3.0564 -6.5624 0.0000 3.0564 6.5624 0.0000 0.0000 0.0000 6.0454" Properties=species:S:1:pos:R:3 pbc="T T T"
Sr 3.0564 3.8134 4.5341
Sr 3.0564 -3.8134 1.5114
Li 3.0564 0.9715 4.5341
Li 3.0564 -0.9715 1.5114
Zn 1.3019 0.0000 0.0000
Zn 1.3019 0.0000 3.0227
Zn 3.0564 1.6871 1.5114
Zn 3.0564 -1.6871 4.5341
Zn 4.8108 0.0000 0.0000
Zn 4.8108 0.0000 3.0227
Ag 3.0564 4.5932 1.5114
Ag 3.0564 -4.5932 4.5341
```

***

8.
# SrLi2Zn2Ag2
Theoretical X-ray powder pattern, Cu Kα (weighted mean of Kα1 and Kα2). Input: the PBE geometry in Alexandria.

The 10 most intense peaks (15° ≤ 2θ ≤ 90°), sorted by position:
2θ 22.30, d = 3.986 Å, intensity 39.5; 2θ 26.83, d = 3.323 Å, intensity 100.0; 2θ 27.15, d = 3.284 Å, intensity 50.4; 2θ 29.38, d = 3.040 Å, intensity 21.0; 2θ 33.73, d = 2.658 Å, intensity 22.8; 2θ 34.46, d = 2.603 Å, intensity 18.4; 2θ 39.22, d = 2.297 Å, intensity 81.3; 2θ 39.36, d = 2.289 Å, intensity 40.3; 2θ 44.00, d = 2.058 Å, intensity 16.9; 2θ 48.47, d = 1.878 Å, intensity 19.8

Cell and atoms:
```
14
Lattice="7.9675 0.0000 0.0000 0.0000 4.5787 0.0000 -2.4945 0.0000 7.9729" Properties=species:S:1:pos:R:3 pbc="T T T"
Sr 0.0000 0.0000 0.0000
Sr 3.9838 2.2893 0.0000
Li 0.0467 0.0000 3.3046
Li 1.4426 2.2893 4.6682
Li 4.0304 2.2893 3.3046
Li 5.4263 0.0000 4.6682
Zn -1.1978 2.2893 5.4164
Zn 2.6870 0.0000 2.5564
Zn 2.7860 0.0000 5.4164
Zn 6.6708 2.2893 2.5564
Ag 0.1389 0.0000 5.8758
Ag 1.3503 2.2893 2.0970
Ag 4.1227 2.2893 5.8758
Ag 5.3341 0.0000 2.0970
```

***

9.
# SrLi6ZnAg
Theoretical X-ray powder pattern, Cu Kα (weighted mean of Kα1 and Kα2). Input: the PBE geometry in Alexandria.

The 10 most intense peaks (15° ≤ 2θ ≤ 90°), sorted by position:
2θ 20.18, d = 4.399 Å, intensity 67.5; 2θ 20.53, d = 4.326 Å, intensity 100.0; 2θ 21.88, d = 4.062 Å, intensity 37.5; 2θ 23.87, d = 3.729 Å, intensity 68.6; 2θ 24.54, d = 3.628 Å, intensity 42.6; 2θ 32.06, d = 2.792 Å, intensity 37.3; 2θ 33.17, d = 2.701 Å, intensity 38.6; 2θ 34.12, d = 2.627 Å, intensity 52.3; 2θ 41.72, d = 2.165 Å, intensity 54.3; 2θ 44.61, d = 2.031 Å, intensity 64.0

Cell and atoms:
```
18
Lattice="-2.7577 5.4018 7.2253 2.7577 -5.4018 7.2253 2.7577 5.4018 -7.2253" Properties=species:S:1:pos:R:3 pbc="T T T"
Sr 0.0000 2.7009 1.9844
Sr 2.7577 2.7009 5.2409
Li 1.4300 -0.3783 2.2561
Li 4.0853 -0.3783 2.2561
Li 2.7577 -2.7009 5.9225
Li 2.7577 2.7009 -0.7891
Li 1.4300 5.0236 -2.2561
Li 1.3276 -0.3783 4.9692
Li 1.4300 5.7801 2.2561
Li 1.3276 0.3783 9.4814
Li 0.0000 2.7009 8.0144
Li 0.0000 8.1027 1.3029
Li -1.3276 5.7801 4.9692
Li 1.3276 5.7801 4.9692
Zn 2.7577 0.0000 0.0000
Zn 0.0000 0.0000 7.2253
Ag 1.3788 2.7009 -3.6127
Ag 1.3788 -2.7009 3.6127
```

***

10.
# Sr2Li6ZnAg
Theoretical X-ray powder pattern, Cu Kα (weighted mean of Kα1 and Kα2). Input: the PBE geometry in Alexandria.

The 10 most intense peaks (15° ≤ 2θ ≤ 90°), sorted by position:
2θ 24.57, d = 3.624 Å, intensity 25.3; 2θ 24.70, d = 3.605 Å, intensity 100.0; 2θ 24.89, d = 3.577 Å, intensity 24.5; 2θ 35.23, d = 2.548 Å, intensity 37.1; 2θ 43.34, d = 2.088 Å, intensity 32.8; 2θ 43.56, d = 2.078 Å, intensity 10.8; 2θ 43.72, d = 2.070 Å, intensity 21.3; 2θ 50.65, d = 1.802 Å, intensity 17.1; 2θ 57.08, d = 1.614 Å, intensity 9.4; 2θ 68.75, d = 1.365 Å, intensity 10.6

Cell and atoms:
```
10
Lattice="-3.5770 3.6236 5.1042 3.5770 -3.6236 5.1042 3.5770 3.6236 -5.1042" Properties=species:S:1:pos:R:3 pbc="T T T"
Sr 0.0000 0.0000 2.5539
Sr 0.0000 0.0000 7.6544
Li 1.7770 1.8241 0.0000
Li 1.8000 -1.7995 5.1042
Li 3.5770 0.0000 2.5711
Li 0.0000 3.6236 2.5331
Li 1.7770 5.4232 0.0000
Li 1.8000 1.7995 5.1042
Zn 0.0000 3.6236 0.0000
Ag 3.5770 0.0000 0.0000
```

***

11.
# LiTaAg
Theoretical X-ray powder pattern, Cu Kα (weighted mean of Kα1 and Kα2). Input: the PBE geometry in Alexandria.

The 10 most intense peaks (15° ≤ 2θ ≤ 90°), sorted by position:
2θ 23.86, d = 3.729 Å, intensity 25.0; 2θ 36.13, d = 2.486 Å, intensity 30.9; 2θ 36.33, d = 2.473 Å, intensity 23.9; 2θ 38.35, d = 2.347 Å, intensity 100.0; 2θ 43.93, d = 2.061 Å, intensity 66.6; 2θ 52.17, d = 1.753 Å, intensity 17.2; 2θ 62.37, d = 1.489 Å, intensity 24.2; 2θ 65.37, d = 1.428 Å, intensity 16.1; 2θ 74.25, d = 1.277 Å, intensity 13.6; 2θ 77.03, d = 1.238 Å, intensity 20.0

Cell and atoms:
```
3
Lattice="2.8552 0.0000 0.0000 -1.4276 2.4727 0.0000 0.0000 0.0000 7.4588" Properties=species:S:1:pos:R:3 pbc="T T T"
Li 0.0000 0.0000 0.0000
Ta 0.0000 1.6484 2.5997
Ag 1.4276 0.8242 5.1101
```

***

12.
# LiTb2Ag
Theoretical X-ray powder pattern, Cu Kα (weighted mean of Kα1 and Kα2). Input: the PBE geometry in Alexandria.

The 10 most intense peaks (15° ≤ 2θ ≤ 90°), sorted by position:
2θ 20.98, d = 4.234 Å, intensity 14.7; 2θ 24.27, d = 3.667 Å, intensity 25.4; 2θ 34.59, d = 2.593 Å, intensity 100.0; 2θ 40.81, d = 2.211 Å, intensity 7.7; 2θ 42.71, d = 2.117 Å, intensity 7.8; 2θ 49.73, d = 1.834 Å, intensity 17.8; 2θ 56.08, d = 1.640 Å, intensity 10.8; 2θ 61.99, d = 1.497 Å, intensity 36.3; 2θ 72.97, d = 1.297 Å, intensity 11.2; 2θ 83.33, d = 1.160 Å, intensity 15.9

Cell and atoms:
```
16
Lattice="7.3343 0.0000 0.0000 0.0000 7.3343 0.0000 0.0000 0.0000 7.3343" Properties=species:S:1:pos:R:3 pbc="T T T"
Li 0.0000 0.0000 0.0000
Li 0.0000 3.6672 3.6672
Li 3.6672 0.0000 3.6672
Li 3.6672 3.6672 0.0000
Tb 1.8336 1.8336 1.8336
Tb 1.8336 1.8336 5.5007
Tb 1.8336 5.5007 1.8336
Tb 1.8336 5.5007 5.5007
Tb 5.5007 1.8336 1.8336
Tb 5.5007 1.8336 5.5007
Tb 5.5007 5.5007 1.8336
Tb 5.5007 5.5007 5.5007
Ag 0.0000 0.0000 3.6672
Ag 0.0000 3.6672 0.0000
Ag 3.6672 0.0000 0.0000
Ag 3.6672 3.6672 3.6672
```